# 1
NaTaNbHg2: calculated XRD peak list (Cu Kα (weighted mean of Kα1 and Kα2)), based on the PBE geometry in Alexandria.

Structure:
Cell: 4.6762 4.6762 4.9939 Å, 90.00 90.00 90.00°
Space group P4/mmm (No. 123)
Unique sites:
1 Na 0.0000 0.0000 0.0000 [1 per cell]
2 Ta 0.5000 0.5000 0.5000 [1 per cell]
3 Nb 0.0000 0.0000 0.5000 [1 per cell]
4 Hg 0.0000 0.5000 0.0000 [2 per cell]

Largest 8 diffraction maxima, by angle, 10° ≤ 2θ ≤ 90°:
| 2theta | intensity | index |
| --- | --- | --- |
| 32.48 | 100 | 1 1 1 |
| 35.97 | 22 | 0 0 2 |
| 38.50 | 37 | 2 0 0 |
| 53.71 | 28 | 2 0 2 |
| 62.46 | 16 | 1 1 3 |
| 65.87 | 27 | 3 1 1 |
| 68.01 | 14 | 2 2 2 |
| 88.42 | 13 | 3 1 3 |


# 2
Ho2Ga3Ni: calculated XRD peak list (Cu Kα (weighted mean of Kα1 and Kα2)), based on the PBE geometry in Alexandria.

Structure:
Cell: 10.1606 4.3470 7.0656 Å, 90.00 132.64 90.00°
Space group Cm (No. 8)
Unique sites:
1 Ho 0.0000 0.0000 0.0000 [2 per cell]
2 Ho 0.0878 0.0000 0.5889 [2 per cell]
3 Ga 0.1869 0.5000 0.9728 [2 per cell]
4 Ga 0.2154 0.5000 0.4135 [2 per cell]
5 Ga 0.3756 0.0000 0.1989 [2 per cell]
6 Ni 0.3704 0.0000 0.5702 [2 per cell]

Largest 8 diffraction maxima, by angle, 10° ≤ 2θ ≤ 90°:
| 2theta | intensity | index |
| --- | --- | --- |
| 23.68 | 34 | 1 1 0 |
| 34.31 | 36 | 3 1 -1 |
| 34.51 | 30 | 0 0 2 |
| 34.64 | 100 | 1 1 -2 |
| 35.08 | 72 | 3 1 -2 |
| 35.39 | 36 | 4 0 -2 |
| 41.55 | 53 | 0 2 0 |
| 41.79 | 70 | 3 1 0 |


# 3
CdGa2Sn2: calculated XRD peak list (Cu Kα (weighted mean of Kα1 and Kα2)), based on the PBE geometry in Alexandria.

Structure:
Cell: 4.9072 4.9072 11.6261 Å, 90.00 90.00 120.00°
Space group P6_3/mmc (No. 194)
Unique sites:
1 Cd 0.0000 0.0000 0.2500 [2 per cell]
2 Ga 0.0000 0.0000 0.0000 [2 per cell]
3 Ga 0.3333 0.6667 0.2500 [2 per cell]
4 Sn 0.3333 0.6667 0.5926 [4 per cell]

Largest 8 diffraction maxima, by angle, 10° ≤ 2θ ≤ 90°:
| 2theta | intensity | index |
| --- | --- | --- |
| 31.24 | 88 | 1 0 3 |
| 36.62 | 100 | 1 1 0 |
| 37.49 | 41 | 1 0 4 |
| 48.88 | 26 | 2 0 3 |
| 60.92 | 21 | 1 1 6 |
| 62.60 | 25 | 2 1 3 |
| 65.94 | 18 | 3 0 0 |
| 66.51 | 15 | 2 1 4 |


# 4
AcNd3Er6: calculated XRD peak list (Cu Kα (weighted mean of Kα1 and Kα2)), based on the PBE geometry in Alexandria.

Structure:
Cell: 11.5237 6.5784 9.8993 Å, 90.00 114.35 90.00°
Space group C2/m (No. 12)
Unique sites:
1 Ac 0.0000 0.0000 0.0000 [2 per cell]
2 Nd 0.0000 0.5000 0.5000 [2 per cell]
3 Nd 0.0695 0.0000 0.6943 [4 per cell]
4 Er 0.1373 0.5000 0.9163 [4 per cell]
5 Er 0.1866 0.2530 0.3159 [8 per cell]

Largest 8 diffraction maxima, by angle, 10° ≤ 2θ ≤ 90°:
| 2theta | intensity | index |
| --- | --- | --- |
| 28.90 | 56 | 0 2 1 |
| 29.72 | 50 | 0 0 3 |
| 30.54 | 84 | 1 1 -3 |
| 31.02 | 49 | 2 0 2 |
| 31.45 | 100 | 2 2 -1 |
| 31.59 | 49 | 4 0 -2 |
| 32.11 | 84 | 2 2 0 |
| 55.41 | 52 | 6 2 -2 |


# 5
RbNdMg2Cl8: calculated XRD peak list (Cu Kα (weighted mean of Kα1 and Kα2)), based on the PBE geometry in Alexandria.

Structure:
Cell: 6.6017 6.6775 9.2654 Å, 76.33 77.65 76.49°
Space group P-1 (No. 2)
Unique sites:
1 Rb 0.0000 0.0000 0.0000 [1 per cell]
2 Nd 0.0000 0.0000 0.5000 [1 per cell]
3 Mg 0.4629 0.4523 0.2058 [2 per cell]
4 Cl 0.1858 0.7213 0.7318 [2 per cell]
5 Cl 0.2360 0.7713 0.2870 [2 per cell]
6 Cl 0.2984 0.2426 0.4413 [2 per cell]
7 Cl 0.3682 0.3092 0.0199 [2 per cell]

Largest 8 diffraction maxima, by angle, 10° ≤ 2θ ≤ 90°:
| 2theta | intensity | index |
| --- | --- | --- |
| 13.95 | 73 | 0 1 0 |
| 15.46 | 35 | 0 1 1 |
| 17.75 | 100 | 1 1 0 |
| 21.63 | 50 | 1 -1 0 |
| 22.06 | 42 | 0 1 2 |
| 28.99 | 42 | 2 1 0 |
| 29.36 | 54 | -1 1 2 |
| 29.89 | 58 | 1 -1 2 |


# 6
Sr3Pd3Pt: calculated XRD peak list (Cu Kα (weighted mean of Kα1 and Kα2)), based on the PBE geometry in Alexandria.

Structure:
Cell: 11.2064 4.3975 15.8268 Å, 90.00 108.05 90.00°
Space group C2/m (No. 12)
Unique sites:
1 Sr 0.0390 0.0000 0.2709 [4 per cell]
2 Sr 0.1730 0.0000 0.5761 [4 per cell]
3 Sr 0.1775 0.5000 0.0960 [4 per cell]
4 Pd 0.0379 0.5000 0.4252 [4 per cell]
5 Pd 0.0528 0.0000 0.9381 [4 per cell]
6 Pd 0.1715 0.5000 0.7232 [4 per cell]
7 Pt 0.1041 0.5000 0.8698 [4 per cell]

Largest 8 diffraction maxima, by angle, 10° ≤ 2θ ≤ 90°:
| 2theta | intensity | index |
| --- | --- | --- |
| 29.88 | 95 | 1 1 3 |
| 30.41 | 44 | 1 1 -4 |
| 31.48 | 82 | 3 1 -1 |
| 31.98 | 36 | 4 0 -2 |
| 37.28 | 37 | 3 1 2 |
| 38.56 | 100 | 3 1 -5 |
| 39.23 | 34 | 4 0 2 |
| 41.05 | 70 | 0 2 0 |


# 7
Sn: calculated XRD peak list (Cu Kα (weighted mean of Kα1 and Kα2)), based on the PBE geometry in Alexandria.

Structure:
Cell: 3.3130 5.5014 3.0906 Å, 90.00 90.00 90.00°
Space group Pmmn (No. 59, origin choice 2)
Unique sites:
1 Sn 0.2500 0.2500 0.0506 [2 per cell]

Largest 8 diffraction maxima, by angle, 10° ≤ 2θ ≤ 90°:
| 2theta | intensity | index |
| --- | --- | --- |
| 28.89 | 56 | 0 0 1 |
| 31.52 | 100 | 1 1 0 |
| 32.55 | 46 | 0 2 0 |
| 43.28 | 77 | 1 1 1 |
| 44.07 | 37 | 0 2 1 |
| 57.44 | 19 | 1 3 0 |
| 65.56 | 23 | 1 3 1 |
| 73.42 | 17 | 2 2 1 |


# 8
SmDy2Ho4Th: calculated XRD peak list (Cu Kα (weighted mean of Kα1 and Kα2)), based on the PBE geometry in Alexandria.

Structure:
Cell: 5.0319 5.0442 9.9797 Å, 90.00 90.04 90.00°
Space group P2/m (No. 10)
Unique sites:
1 Sm 0.0000 0.0000 0.0000 [1 per cell]
2 Dy 0.0000 0.0000 0.5000 [1 per cell]
3 Dy 0.5000 0.5000 0.0000 [1 per cell]
4 Ho 0.9999 0.5000 0.2529 [2 per cell]
5 Ho 0.4997 0.0000 0.2533 [2 per cell]
6 Th 0.5000 0.5000 0.5000 [1 per cell]

Largest 8 diffraction maxima, by angle, 10° ≤ 2θ ≤ 90°:
| 2theta | intensity | index |
| --- | --- | --- |
| 30.84 | 100 | 1 1 2 |
| 35.64 | 34 | 2 0 0 |
| 36.00 | 17 | 0 0 4 |
| 51.56 | 24 | 2 0 4 |
| 61.00 | 15 | 1 3 2 |
| 61.12 | 14 | 3 1 2 |
| 61.53 | 14 | 1 1 6 |
| 64.25 | 12 | 2 2 4 |


# 9
BaAsCl6: calculated XRD peak list (Cu Kα (weighted mean of Kα1 and Kα2)), based on the PBE geometry in Alexandria.

Structure:
Cell: 7.8501 9.8877 6.3397 Å, 90.00 111.61 90.00°
Space group C2/m (No. 12)
Unique sites:
1 Ba 0.0000 0.0000 0.0000 [2 per cell]
2 As 0.0000 0.5000 0.5000 [2 per cell]
3 Cl 0.1226 0.3312 0.7912 [8 per cell]
4 Cl 0.2079 0.0000 0.5440 [4 per cell]

Largest 8 diffraction maxima, by angle, 10° ≤ 2θ ≤ 90°:
| 2theta | intensity | index |
| --- | --- | --- |
| 17.91 | 100 | 1 1 -1 |
| 24.37 | 24 | 2 0 0 |
| 29.66 | 29 | 2 2 -1 |
| 29.74 | 14 | 1 3 0 |
| 35.51 | 93 | 0 2 2 |
| 48.03 | 18 | 0 4 2 |
| 53.53 | 17 | 3 3 1 |
| 55.60 | 12 | 3 3 -3 |


# 10
RbAlAu3: calculated XRD peak list (Cu Kα (weighted mean of Kα1 and Kα2)), based on the PBE geometry in Alexandria.

Structure:
Cell: 8.4571 7.2879 9.2696 Å, 90.00 107.26 90.00°
Space group P2_1/c (No. 14)
Unique sites:
1 Rb 0.1296 0.1102 0.2037 [4 per cell]
2 Al 0.4161 0.7490 0.6004 [4 per cell]
3 Au 0.1455 0.5766 0.0775 [4 per cell]
4 Au 0.3830 0.5442 0.3628 [4 per cell]
5 Au 0.4869 0.1005 0.6252 [4 per cell]

Largest 8 diffraction maxima, by angle, 10° ≤ 2θ ≤ 90°:
| 2theta | intensity | index |
| --- | --- | --- |
| 10.96 | 100 | 1 0 0 |
| 17.43 | 70 | 1 1 -1 |
| 24.43 | 52 | 0 2 0 |
| 25.06 | 47 | 2 0 -2 |
| 32.63 | 75 | 2 2 -1 |
| 39.75 | 55 | 3 1 1 |
| 45.58 | 51 | 1 3 2 |
| 48.10 | 46 | 4 1 -3 |